1.
Structure and calculated PXRD pattern of NaZnBi (a GGA-PBE-relaxed structure; CuKα).

Peak list (10 most intense, 2θ from 15° to 90°, by angle)
3.948 Å, 22.52°, intensity 100
3.274 Å, 27.24°, intensity 24
2.475 Å, 36.30°, intensity 74
2.315 Å, 38.90°, intensity 34
2.213 Å, 40.77°, intensity 29
1.997 Å, 45.41°, intensity 40
1.600 Å, 57.62°, intensity 20
1.464 Å, 63.55°, intensity 16
1.365 Å, 68.75°, intensity 23
1.266 Å, 75.02°, intensity 15

Structure:
abc: 4.630 4.630 7.558
angles: 90.00 90.00 90.00
Fractional coordinates of all 6 atoms:
1 Na 0.250 0.250 0.170
2 Na 0.750 0.750 0.830
3 Zn 0.250 0.750 0.500
4 Zn 0.750 0.250 0.500
5 Bi 0.250 0.250 0.731
6 Bi 0.750 0.750 0.269

---

2.
Structure and calculated PXRD pattern of PrSiPt (a GGA-PBE-relaxed structure; CuKα).

Peak list (10 most intense, 2θ from 15° to 90°, by angle)
4.077 Å, 21.80°, intensity 16
3.192 Å, 27.95°, intensity 45
2.775 Å, 32.25°, intensity 100
2.396 Å, 37.53°, intensity 50
2.124 Å, 42.56°, intensity 38
1.863 Å, 48.89°, intensity 22
1.768 Å, 51.69°, intensity 17
1.590 Å, 58.02°, intensity 28
1.401 Å, 66.79°, intensity 17
1.321 Å, 71.41°, intensity 20

Structure:
abc: 7.853 7.853 7.853
angles: 148.62 148.62 44.98
Fractional coordinates of all 6 atoms:
1 Pr 0.000 0.000 0.000
2 Pr 0.750 0.250 0.500
3 Si 0.170 0.670 0.500
4 Si 0.420 0.420 0.000
5 Pt 0.338 0.838 0.500
6 Pt 0.588 0.588 0.000

---

3.
Structure and calculated PXRD pattern of Zr2N2O (a GGA-PBE-relaxed structure; CuKα).

Peak list (10 most intense, 2θ from 15° to 90°, by angle)
4.185 Å, 21.23°, intensity 24
2.963 Å, 30.16°, intensity 100
2.955 Å, 30.25°, intensity 98
2.563 Å, 35.02°, intensity 56
2.417 Å, 37.21°, intensity 12
1.815 Å, 50.28°, intensity 37
1.810 Å, 50.41°, intensity 24
1.808 Å, 50.48°, intensity 12
1.547 Å, 59.76°, intensity 22
1.544 Å, 59.90°, intensity 25

Structure:
abc: 8.857 8.873 8.875
angles: 109.50 109.35 109.32
Fractional coordinates of all 40 atoms:
1 Zr 0.000 0.000 0.000
2 Zr 0.012 0.530 0.512
3 Zr 0.051 0.772 0.297
4 Zr 0.230 0.489 0.271
5 Zr 0.259 0.810 0.040
6 Zr 0.264 0.305 0.553
7 Zr 0.287 0.051 0.751
8 Zr 0.474 0.269 0.222
9 Zr 0.501 0.522 0.013
10 Zr 0.524 0.032 0.512
11 Zr 0.547 0.770 0.797
12 Zr 0.716 0.981 0.254
13 Zr 0.758 0.730 0.479
14 Zr 0.772 0.241 0.985
15 Zr 0.806 0.550 0.759
16 Zr 0.975 0.267 0.723
17 N 0.002 0.782 0.047
18 N 0.044 0.793 0.554
19 N 0.059 0.551 0.781
20 N 0.240 0.011 0.966
21 N 0.242 0.284 0.785
22 N 0.275 0.056 0.496
23 N 0.289 0.564 0.543
24 N 0.471 0.745 0.001
25 N 0.474 0.528 0.244
26 N 0.522 0.064 0.283
27 N 0.738 0.291 0.753
28 N 0.739 0.469 0.472
29 N 0.753 0.987 0.519
30 N 0.770 0.790 0.738
31 N 0.788 0.038 0.059
32 N 0.969 0.487 0.235
33 O 0.026 0.258 0.976
34 O 0.249 0.248 0.281
35 O 0.288 0.748 0.278
36 O 0.497 0.974 0.740
37 O 0.546 0.507 0.773
38 O 0.559 0.291 0.020
39 O 0.783 0.751 0.233
40 O 0.983 0.245 0.465

---

4.
Structure and calculated PXRD pattern of Fe2Co3N4 (a GGA-PBE-relaxed structure; CuKα).

Peak list (10 most intense, 2θ from 15° to 90°, by angle)
2.491 Å, 36.06°, intensity 63
2.463 Å, 36.48°, intensity 56
2.357 Å, 38.18°, intensity 100
1.725 Å, 53.08°, intensity 26
1.716 Å, 53.38°, intensity 18
1.708 Å, 53.67°, intensity 19
1.692 Å, 54.22°, intensity 22
1.681 Å, 54.58°, intensity 22
1.643 Å, 55.98°, intensity 29
1.179 Å, 81.71°, intensity 13

Structure:
abc: 5.513 5.513 5.511
angles: 93.46 93.46 75.72
Fractional coordinates of all 18 atoms:
1 Fe 0.053 0.335 0.338
2 Fe 0.335 0.053 0.838
3 Fe 0.665 0.947 0.162
4 Fe 0.947 0.665 0.662
5 Co 0.146 0.854 0.250
6 Co 0.277 0.481 0.997
7 Co 0.481 0.277 0.497
8 Co 0.519 0.723 0.503
9 Co 0.723 0.519 0.003
10 Co 0.854 0.146 0.750
11 N 0.065 0.255 0.011
12 N 0.222 0.583 0.465
13 N 0.255 0.065 0.511
14 N 0.417 0.778 0.035
15 N 0.583 0.222 0.965
16 N 0.745 0.935 0.489
17 N 0.778 0.417 0.535
18 N 0.935 0.745 0.989